Diffraction record for LiTlMoF6. The powder diffraction line list is simulated, not measured: it uses a PBE+U-relaxed structure and Cu Kα (λ = 1.5418 Å).
Lines closer than 0.1° are merged.

Structural model:
a b c (Å): 5.434 5.460 6.067
angles (deg): 90.17 90.46 118.46
Space group P1 (No. 1)
Symmetry-distinct sites (fractional):
1 Li 0.000 0.000 0.000 (multiplicity 1)
2 Tl 0.678 0.317 0.500 (multiplicity 1)
3 Mo 0.338 0.659 0.000 (multiplicity 1)
4 F 0.049 0.340 0.180 (multiplicity 1)
5 F 0.049 0.698 0.819 (multiplicity 1)
6 F 0.293 0.341 0.812 (multiplicity 1)
7 F 0.302 0.948 0.180 (multiplicity 1)
8 F 0.658 0.705 0.188 (multiplicity 1)
9 F 0.658 0.951 0.820 (multiplicity 1)

Peak list (12 most intense, 2θ from 15° to 90°, low angle first)
2θ (°), Rel. int., h k l
18.53, 51, 1 0 0
18.96, 30, 1 -1 0
23.56, 100, 0 1 -1
23.73, 49, 0 1 1
23.83, 48, 1 0 1
24.01, 89, 1 -1 1
35.18, 23, -1 1 2
40.48, 19, 2 0 -1
41.35, 20, 2 -2 1
43.88, 21, 1 1 -2
44.75, 25, -1 2 2
44.97, 19, 2 -1 2